Starting from a structure optimized by DFT (GGA+U), the X-ray powder pattern of Sr2SmCrO6 was simulated for copper Kα.

Most intense lines, 15° ≤ 2θ ≤ 90°, in order of rising 2θ:
Position (°2θ), I/Imax
18.55, 11
30.52, 100
35.95, 11
43.71, 33
47.86, 7
54.24, 39
63.53, 20
72.11, 18
80.29, 6
88.27, 21

Structure:
Unit cell a=5.8579 b=5.8579 c=5.8579 alpha=60.00 beta=60.00 gamma=60.00
Element x y z (fractional)
Sr (0.2500, 0.2500, 0.2500)
Sr (0.7500, 0.7500, 0.7500)
Sm (0.0000, 0.0000, 0.0000)
Cr (0.5000, 0.5000, 0.5000)
O (0.2722, 0.2722, 0.7278)
O (0.2722, 0.7278, 0.2722)
O (0.2722, 0.7278, 0.7278)
O (0.7278, 0.2722, 0.2722)
O (0.7278, 0.2722, 0.7278)
O (0.7278, 0.7278, 0.2722)

***

Starting from a structure optimized by DFT (GGA+U), the X-ray powder pattern of ThMo2O9 was simulated for copper Kα.

Most intense lines, 15° ≤ 2θ ≤ 90°, in order of rising 2θ:
Position (°2θ), I/Imax
16.79, 42
17.53, 56
18.12, 34
22.76, 53
23.87, 22
24.06, 45
24.67, 100
27.80, 72
29.39, 52
47.74, 30

Structure:
Unit cell a=7.4096 b=10.6855 c=9.8076 alpha=90.00 beta=93.35 gamma=90.00
Element x y z (fractional)
Th (0.2267, 0.0396, 0.2391)
Th (0.2267, 0.4604, 0.7391)
Th (0.7733, 0.5396, 0.2609)
Th (0.7733, 0.9604, 0.7609)
Mo (0.1206, 0.7318, 0.0015)
Mo (0.1206, 0.7682, 0.5015)
Mo (0.2936, 0.0971, 0.8210)
Mo (0.2936, 0.4029, 0.3210)
Mo (0.7064, 0.5971, 0.6790)
Mo (0.7064, 0.9029, 0.1790)
Mo (0.8794, 0.2318, 0.4985)
Mo (0.8794, 0.2682, 0.9985)
O (0.0118, 0.6702, 0.3747)
O (0.0118, 0.8298, 0.8747)
O (0.0546, 0.1548, 0.4083)
O (0.0546, 0.3452, 0.9083)
O (0.0684, 0.0608, 0.7556)
O (0.0684, 0.4392, 0.2556)
O (0.2496, 0.6643, 0.6134)
O (0.2496, 0.8357, 0.1134)
O (0.2567, 0.6167, 0.9204)
O (0.2567, 0.8833, 0.4204)
O (0.3000, 0.0876, 0.0034)
O (0.3000, 0.4124, 0.5034)
O (0.3494, 0.2478, 0.2630)
O (0.3494, 0.2522, 0.7630)
O (0.3630, 0.1134, 0.4601)
O (0.3630, 0.3866, 0.9601)
O (0.4511, 0.5136, 0.2590)
O (0.4511, 0.9864, 0.7590)
O (0.5489, 0.0136, 0.2410)
O (0.5489, 0.4864, 0.7410)
O (0.6370, 0.6134, 0.0399)
O (0.6370, 0.8866, 0.5399)
O (0.6506, 0.7478, 0.2370)
O (0.6506, 0.7522, 0.7370)
O (0.7000, 0.5876, 0.4966)
O (0.7000, 0.9124, 0.9966)
O (0.7433, 0.1167, 0.5796)
O (0.7433, 0.3833, 0.0796)
O (0.7504, 0.1643, 0.8866)
O (0.7504, 0.3357, 0.3866)
O (0.9316, 0.5608, 0.7444)
O (0.9316, 0.9392, 0.2444)
O (0.9454, 0.6548, 0.0917)
O (0.9454, 0.8452, 0.5917)
O (0.9882, 0.1702, 0.1253)
O (0.9882, 0.3298, 0.6253)

***

Starting from a structure optimized by DFT (GGA+U), the X-ray powder pattern of CaCo6O2F10 was simulated for copper Kα.

Most intense lines, 15° ≤ 2θ ≤ 90°, in order of rising 2θ:
Position (°2θ), I/Imax
25.83, 100
27.55, 58
31.89, 20
33.81, 17
35.22, 48
38.11, 21
39.81, 17
43.04, 16
51.89, 19
53.09, 24

Structure:
Unit cell a=4.7547 b=4.7547 c=11.4375 alpha=95.72 beta=95.72 gamma=93.03
Element x y z (fractional)
Ca (0.0000, 0.0000, 0.0000)
Co (0.3460, 0.3460, 0.7912)
Co (0.3481, 0.3481, 0.2696)
Co (0.3749, 0.3749, 0.5282)
Co (0.5378, 0.5378, 0.0691)
Co (0.8328, 0.8328, 0.3675)
Co (0.9130, 0.9130, 0.6671)
O (0.0727, 0.0727, 0.8178)
O (0.6221, 0.6221, 0.2316)
F (0.0586, 0.0586, 0.2059)
F (0.0659, 0.0659, 0.5152)
F (0.1087, 0.5309, 0.0364)
F (0.1475, 0.5566, 0.3916)
F (0.1986, 0.5910, 0.6669)
F (0.5309, 0.1087, 0.0364)
F (0.5566, 0.1475, 0.3916)
F (0.5910, 0.1986, 0.6669)
F (0.6092, 0.6092, 0.9059)
F (0.6808, 0.6808, 0.5284)

***

Starting from a structure optimized by DFT (GGA+U), the X-ray powder pattern of Fe5O7F3 was simulated for copper Kα.

Most intense lines, 15° ≤ 2θ ≤ 90°, in order of rising 2θ:
Position (°2θ), I/Imax
26.59, 95
27.34, 94
35.19, 100
38.50, 17
40.02, 16
52.72, 55
53.57, 53
60.91, 16
67.48, 20
67.59, 28

Structure:
Unit cell a=4.6780 b=4.6780 c=15.2100 alpha=90.08 beta=90.08 gamma=91.56
Element x y z (fractional)
Fe (0.0000, 0.0000, 0.0000)
Fe (0.0262, 0.9536, 0.7935)
Fe (0.0464, 0.9738, 0.2065)
Fe (0.4746, 0.4765, 0.0940)
Fe (0.5019, 0.4880, 0.7009)
Fe (0.5120, 0.4981, 0.2991)
Fe (0.5161, 0.4839, 0.5000)
Fe (0.5235, 0.5254, 0.9060)
Fe (0.9809, 0.0172, 0.5988)
Fe (0.9828, 0.0191, 0.4012)
O (0.1864, 0.1985, 0.4999)
O (0.1882, 0.1706, 0.1001)
O (0.1986, 0.1858, 0.6980)
O (0.2046, 0.1962, 0.3039)
O (0.3033, 0.6967, 0.0000)
O (0.3241, 0.6679, 0.2010)
O (0.3321, 0.6759, 0.7990)
O (0.6845, 0.3099, 0.6025)
O (0.6901, 0.3155, 0.3975)
O (0.7020, 0.2980, 0.0000)
O (0.8015, 0.8136, 0.5001)
O (0.8038, 0.7954, 0.6961)
O (0.8142, 0.8014, 0.3020)
O (0.8294, 0.8118, 0.8999)
F (0.2174, 0.1938, 0.8963)
F (0.2978, 0.6956, 0.5984)
F (0.3044, 0.7022, 0.4016)
F (0.7040, 0.2804, 0.1966)
F (0.7196, 0.2960, 0.8034)
F (0.8062, 0.7826, 0.1037)

***

Starting from a structure optimized by DFT (GGA+U), the X-ray powder pattern of Co2SiO4 was simulated for copper Kα.

Most intense lines, 15° ≤ 2θ ≤ 90°, in order of rising 2θ:
Position (°2θ), I/Imax
25.08, 72
31.79, 82
34.18, 20
35.13, 55
36.03, 100
51.45, 39
51.52, 41
51.68, 30
61.13, 23
65.79, 22

Structure:
Unit cell a=4.8276 b=6.0644 c=10.3963 alpha=89.80 beta=89.92 gamma=89.96
Element x y z (fractional)
Co (0.0000, 0.0000, 0.0000)
Co (0.0000, 0.5000, 0.0000)
Co (0.0046, 0.2514, 0.2747)
Co (0.4933, 0.2508, 0.7747)
Co (0.5000, 0.0000, 0.5000)
Co (0.5000, 0.5000, 0.5000)
Co (0.5067, 0.7492, 0.2253)
Co (0.9954, 0.7486, 0.7253)
Si (0.0737, 0.7509, 0.4069)
Si (0.4268, 0.7514, 0.9066)
Si (0.5732, 0.2486, 0.0934)
Si (0.9263, 0.2491, 0.5931)
O (0.2150, 0.7521, 0.5539)
O (0.2193, 0.9677, 0.3367)
O (0.2226, 0.5330, 0.3398)
O (0.2330, 0.2507, 0.0928)
O (0.2665, 0.2508, 0.5928)
O (0.2787, 0.5341, 0.8389)
O (0.2806, 0.9685, 0.8370)
O (0.2846, 0.7522, 0.0536)
O (0.7154, 0.2478, 0.9464)
O (0.7194, 0.0315, 0.1630)
O (0.7213, 0.4659, 0.1611)
O (0.7335, 0.7492, 0.4072)
O (0.7670, 0.7493, 0.9072)
O (0.7774, 0.4670, 0.6602)
O (0.7807, 0.0323, 0.6633)
O (0.7850, 0.2479, 0.4461)

***

Starting from a structure optimized by DFT (GGA+U), the X-ray powder pattern of CaLaMnNbO6 was simulated for copper Kα.

Most intense lines, 15° ≤ 2θ ≤ 90°, in order of rising 2θ:
Position (°2θ), I/Imax
18.42, 22
18.93, 35
27.81, 33
29.61, 46
31.59, 100
31.99, 45
41.07, 29
49.75, 27
53.80, 25
58.97, 23

Structure:
Unit cell a=6.0330 b=6.3156 c=9.5835 alpha=90.00 beta=129.00 gamma=90.00
Element x y z (fractional)
Ca (0.0000, 0.1570, 0.0000)
Ca (0.0000, 0.8430, 0.5000)
La (0.4937, 0.1452, 0.4993)
La (0.4937, 0.8548, 0.9993)
Mn (0.2497, 0.3164, 0.7504)
Mn (0.2497, 0.6836, 0.2504)
Nb (0.7990, 0.3005, 0.2473)
Nb (0.7990, 0.6995, 0.7473)
O (0.0139, 0.0720, 0.7576)
O (0.0139, 0.9280, 0.2576)
O (0.0917, 0.2217, 0.4990)
O (0.0917, 0.7783, 0.9990)
O (0.1333, 0.3791, 0.2516)
O (0.1333, 0.6209, 0.7516)
O (0.5264, 0.1044, 0.2322)
O (0.5264, 0.8956, 0.7322)
O (0.6117, 0.2215, 0.9953)
O (0.6117, 0.7785, 0.4953)
O (0.6660, 0.4292, 0.7449)
O (0.6660, 0.5708, 0.2449)